NaHoCdBr6: computed powder X-ray diffraction pattern (a wavelength of 1.5418 Å), based on a DFT-relaxed cell (GGA-PBE, Alexandria).
Intensities are scaled so that the largest is 100.

Largest 6 diffraction maxima, sorted by position, 2θ from 10° to 90°:
two_theta	I/Imax	index
13.2	34.7	0 0 2
19.5	29.4	1 0 2
28.3	100.0	1 1 2
36.8	63.4	1 1 4
43.8	38.0	3 0 0
48.0	25.4	2 -1 6

Atomic structure:
a = 7.1545 Å, b = 7.1545 Å, c = 13.3917 Å
α = 90.00°, β = 90.00°, γ = 120.00°
Space group P-31c (No. 163)
Inequivalent atoms, fractional coordinates:
Na: 0.0000 0.0000 0.0000
Ho: 0.3333 0.6667 0.2500
Cd: 0.3333 0.6667 0.7500
Br: 0.0020 0.3558 0.1303